Diffraction record for TbZrNi. The powder diffractogram is simulated, not measured: it uses the PBE geometry in Alexandria and Cu Kα X-rays.

Cell and atoms:
```
data_TbZrNi
_space_group_name_H-M_alt 'P 1'
_space_group_IT_number 1
_space_group_name_Hall 'P 1'
_cell_length_a 10.417
_cell_length_b 9.585
_cell_length_c 5.650
_cell_angle_alpha 81.89
_cell_angle_beta 65.63
_cell_angle_gamma 32.48
loop_
_atom_site_label
_atom_site_type_symbol
_atom_site_fract_x
_atom_site_fract_y
_atom_site_fract_z
Tb1 Tb 0.039 0.039 0.211
Tb2 Tb 0.211 0.211 0.039
Tb3 Tb 0.789 0.789 0.961
Tb4 Tb 0.961 0.961 0.789
Zr1 Zr 0.212 0.538 0.212
Zr2 Zr 0.462 0.788 0.462
Zr3 Zr 0.538 0.212 0.538
Zr4 Zr 0.788 0.462 0.788
Ni1 Ni 0.250 0.250 0.500
Ni2 Ni 0.500 0.500 0.250
Ni3 Ni 0.500 0.500 0.750
Ni4 Ni 0.750 0.750 0.500
```

Largest 10 diffraction maxima, most intense first, 15° ≤ 2θ ≤ 90°:
| 2θ/deg | intensity |
| --- | --- |
| 42.35 | 100 |
| 32.06 | 93 |
| 34.51 | 93 |
| 39.10 | 79 |
| 33.87 | 68 |
| 30.61 | 66 |
| 37.30 | 61 |
| 41.60 | 59 |
| 58.55 | 56 |
| 34.99 | 38 |

---

Diffraction record for Li4CdAu. The powder diffractogram is simulated, not measured: it uses the PBE geometry in Alexandria and Cu Kα X-rays.

Cell and atoms:
```
data_Li4CdAu
_space_group_name_H-M_alt 'P 1'
_space_group_IT_number 1
_space_group_name_Hall 'P 1'
_cell_length_a 2.988
_cell_length_b 3.875
_cell_length_c 8.806
_cell_angle_alpha 90.00
_cell_angle_beta 90.00
_cell_angle_gamma 90.00
loop_
_atom_site_label
_atom_site_type_symbol
_atom_site_fract_x
_atom_site_fract_y
_atom_site_fract_z
Li1 Li 0.000 0.000 0.148
Li2 Li 0.000 0.000 0.852
Li3 Li 0.500 0.500 0.323
Li4 Li 0.500 0.500 0.677
Cd1 Cd 0.000 0.000 0.500
Au1 Au 0.500 0.500 0.000
```

Largest 10 diffraction maxima, most intense first, 15° ≤ 2θ ≤ 90°:
| 2θ/deg | intensity |
| --- | --- |
| 25.11 | 100 |
| 20.17 | 85 |
| 31.62 | 56 |
| 43.42 | 48 |
| 38.03 | 42 |
| 38.48 | 40 |
| 43.20 | 29 |
| 57.15 | 21 |
| 57.67 | 20 |
| 65.66 | 17 |

---

Diffraction record for CePr6Sm2Ho. The powder diffractogram is simulated, not measured: it uses the PBE geometry in Alexandria and Cu Kα X-rays.

Cell and atoms:
```
data_CePr6Sm2Ho
_space_group_name_H-M_alt 'P 1'
_space_group_IT_number 1
_space_group_name_Hall 'P 1'
_cell_length_a 6.741
_cell_length_b 6.741
_cell_length_c 8.971
_cell_angle_alpha 102.29
_cell_angle_beta 102.29
_cell_angle_gamma 63.62
loop_
_atom_site_label
_atom_site_type_symbol
_atom_site_fract_x
_atom_site_fract_y
_atom_site_fract_z
Ce1 Ce 0.000 0.000 0.000
Pr1 Pr 0.088 0.559 0.204
Pr2 Pr 0.123 0.123 0.414
Pr3 Pr 0.441 0.912 0.796
Pr4 Pr 0.559 0.088 0.204
Pr5 Pr 0.877 0.877 0.586
Pr6 Pr 0.912 0.441 0.796
Sm1 Sm 0.411 0.411 0.834
Sm2 Sm 0.589 0.589 0.166
Ho1 Ho 0.500 0.500 0.500
```

Largest 10 diffraction maxima, most intense first, 15° ≤ 2θ ≤ 90°:
| 2θ/deg | intensity |
| --- | --- |
| 30.26 | 100 |
| 32.52 | 74 |
| 31.26 | 56 |
| 29.86 | 49 |
| 32.95 | 29 |
| 29.12 | 27 |
| 26.95 | 27 |
| 33.71 | 23 |
| 55.55 | 22 |
| 46.50 | 21 |

---

Diffraction record for SrTmTe2O8. The powder diffractogram is simulated, not measured: it uses the PBE geometry in Alexandria and Cu Kα X-rays.

Cell and atoms:
```
data_SrTmTe2O8
_space_group_name_H-M_alt 'P 1'
_space_group_IT_number 1
_space_group_name_Hall 'P 1'
_cell_length_a 6.012
_cell_length_b 6.012
_cell_length_c 7.223
_cell_angle_alpha 90.00
_cell_angle_beta 90.00
_cell_angle_gamma 120.00
loop_
_atom_site_label
_atom_site_type_symbol
_atom_site_fract_x
_atom_site_fract_y
_atom_site_fract_z
Sr1 Sr 0.000 0.000 0.000
Tm1 Tm 0.000 0.000 0.500
Te1 Te 0.333 0.667 0.775
Te2 Te 0.667 0.333 0.225
O1 O 0.156 0.313 0.707
O2 O 0.158 0.844 0.707
O3 O 0.313 0.158 0.293
O4 O 0.333 0.667 0.029
O5 O 0.667 0.333 0.971
O6 O 0.687 0.842 0.707
O7 O 0.842 0.156 0.293
O8 O 0.844 0.687 0.293
```

Largest 10 diffraction maxima, most intense first, 15° ≤ 2θ ≤ 90°:
| 2θ/deg | intensity |
| --- | --- |
| 21.03 | 100 |
| 29.72 | 78 |
| 30.11 | 67 |
| 42.82 | 38 |
| 52.99 | 31 |
| 47.91 | 23 |
| 17.03 | 23 |
| 59.74 | 18 |
| 52.74 | 15 |
| 61.71 | 14 |

---

Diffraction record for Re4Tc2Ru. The powder diffractogram is simulated, not measured: it uses the PBE geometry in Alexandria and Cu Kα X-rays.

Cell and atoms:
```
data_Re4Tc2Ru
_space_group_name_H-M_alt 'P 1'
_space_group_IT_number 1
_space_group_name_Hall 'P 1'
_cell_length_a 5.337
_cell_length_b 5.337
_cell_length_c 4.109
_cell_angle_alpha 90.00
_cell_angle_beta 90.00
_cell_angle_gamma 108.02
loop_
_atom_site_label
_atom_site_type_symbol
_atom_site_fract_x
_atom_site_fract_y
_atom_site_fract_z
Re1 Re 0.000 0.500 0.500
Re2 Re 0.219 0.781 0.000
Re3 Re 0.500 0.000 0.500
Re4 Re 0.781 0.219 0.000
Tc1 Tc 0.300 0.300 0.000
Tc2 Tc 0.700 0.700 0.000
Ru1 Ru 0.000 0.000 0.500
```

Largest 10 diffraction maxima, most intense first, 15° ≤ 2θ ≤ 90°:
| 2θ/deg | intensity |
| --- | --- |
| 41.84 | 100 |
| 20.57 | 21 |
| 44.08 | 20 |
| 76.41 | 15 |
| 36.03 | 14 |
| 79.53 | 13 |
| 40.89 | 12 |
| 62.39 | 11 |
| 58.90 | 6 |
| 17.48 | 5 |

---

Diffraction record for CsLi4Pr3I12. The powder diffractogram is simulated, not measured: it uses the PBE geometry in Alexandria and Cu Kα X-rays.

Cell and atoms:
```
data_CsLi4Pr3I12
_space_group_name_H-M_alt 'P 1'
_space_group_IT_number 1
_space_group_name_Hall 'P 1'
_cell_length_a 10.528
_cell_length_b 10.528
_cell_length_c 10.528
_cell_angle_alpha 108.84
_cell_angle_beta 108.84
_cell_angle_gamma 108.84
loop_
_atom_site_label
_atom_site_type_symbol
_atom_site_fract_x
_atom_site_fract_y
_atom_site_fract_z
Cs1 Cs 0.000 0.000 0.000
Li1 Li 0.090 0.500 0.910
Li2 Li 0.500 0.500 0.500
Li3 Li 0.500 0.910 0.090
Li4 Li 0.910 0.090 0.500
Pr1 Pr 0.000 0.582 0.418
Pr2 Pr 0.418 0.000 0.582
Pr3 Pr 0.582 0.418 0.000
I1 I 0.071 0.665 0.761
I2 I 0.073 0.927 0.500
I3 I 0.239 0.335 0.929
I4 I 0.335 0.929 0.239
I5 I 0.345 0.655 0.500
I6 I 0.500 0.073 0.927
I7 I 0.500 0.345 0.655
I8 I 0.655 0.500 0.345
I9 I 0.665 0.761 0.071
I10 I 0.761 0.071 0.665
I11 I 0.927 0.500 0.073
I12 I 0.929 0.239 0.335
```

Largest 10 diffraction maxima, most intense first, 15° ≤ 2θ ≤ 90°:
| 2θ/deg | intensity |
| --- | --- |
| 27.20 | 100 |
| 23.12 | 39 |
| 39.80 | 36 |
| 42.22 | 28 |
| 45.99 | 23 |
| 17.81 | 23 |
| 34.46 | 22 |
| 27.48 | 18 |
| 37.87 | 18 |
| 20.28 | 18 |